C: simulated powder diffractogram (Cu Kα), based on a DFT-relaxed cell (GGA-PBE, the Materials Project).

The 10 most intense peaks (15 to 90 degrees two-theta), sorted by position:
hkl	2theta	d_spacing	I (rel.)
2 0 0	19.6	4.536	22
2 0 1	29.1	3.066	81
4 0 0	39.7	2.268	48
0 1 1	41.8	2.159	56
1 1 1	43.1	2.100	100
4 0 1	45.6	1.991	41
6 0 0	61.3	1.513	26
0 2 0	75.2	1.263	23
2 1 3	82.1	1.174	40
7 1 1	87.9	1.111	24

Structural model:
abc: 9.0721 2.5260 4.1596
angles: 90.00 90.00 90.00
Space group Pnma (No. 62)
Symmetry-distinct sites (fractional):
C1 0.0206 0.2500 0.0918 x4
C2 0.0368 0.7500 0.5684 x4
C3 0.1895 0.2500 0.1984 x4
C4 0.1952 0.7500 0.4235 x4